This entry pairs a crystal structure of Tb2PmSm2 with its simulated PXRD pattern. Radiation: copper Kα. Structure: DFT lattice parameters and positions (GGA-PBE).

Structure:
abc: 9.6317 8.1276 9.3639
angles: 90.00 114.60 90.00
Space group C2/c (No. 15)
One atom of each set of equivalent atoms:
Tb: 0.1645 0.0588 0.4736 (multiplicity 8)
Pm: 0.0000 0.2860 0.7500 (multiplicity 4)
Sm: 0.1145 0.3323 0.1493 (multiplicity 8)

The 12 most intense peaks (10° ≤ 2θ ≤ 90°), by angle:
2θ 28.82, I 61, (2 2 -1)
2θ 29.03, I 69, (1 1 2)
2θ 30.01, I 100, (3 1 -1)
2θ 30.41, I 66, (0 2 2)
2θ 30.82, I 94, (1 1 -3)
2θ 31.07, I 60, (3 1 -2)
2θ 32.59, I 21, (3 1 0)
2θ 34.64, I 74, (1 3 0)
2θ 34.98, I 76, (2 0 2)
2θ 54.40, I 24, (2 4 -3)
2θ 59.67, I 20, (1 5 1)
2θ 59.93, I 30, (4 4 -1)